# Sr6Te3N2
Simulated XRD peak list, Cu Kα. Input: the PBE geometry in Alexandria.
Kinematic intensities with the Lorentz-polarization factor, no thermal factor.

Atomic structure:
abc: 13.931 13.931 13.931
angles: 159.02 159.02 29.84
Element x y z (fractional)
Sr1 0.085 0.585 0.500
Sr2 0.192 0.192 0.000
Sr3 0.415 0.915 0.500
Sr4 0.585 0.085 0.500
Sr5 0.808 0.808 0.000
Sr6 0.915 0.415 0.500
Te1 0.321 0.321 0.000
Te2 0.500 0.500 0.000
Te3 0.679 0.679 0.000
N1 0.104 0.104 0.000
N2 0.896 0.896 0.000

Top 8 peaks for 2θ = 10–90°, low angle first:
2θ/deg, Rel. int.
17.79, 14
25.70, 30
28.19, 15
31.94, 100
35.39, 54
49.36, 16
50.91, 19
61.37, 34